The following is a calculated powder diffractogram of Ce2ZnNi2. It was derived from DFT lattice parameters and positions (PBE), using copper Kα.
No peak broadening, texture or thermal motion is included.

Main lines, low angle first (2θ = 10–90°):
d 3.425, I 40.9, hkl 1 1 0
d 2.727, I 14.7, hkl 0 2 0
d 2.574, I 100.0, hkl 1 1 2
d 2.348, I 30.7, hkl 0 1 3
d 2.237, I 54.2, hkl 0 2 2
d 2.222, I 53.4, hkl 1 2 1
d 2.201, I 37.4, hkl 2 0 0
d 1.606, I 18.7, hkl 2 1 3
d 1.568, I 17.6, hkl 2 2 2
d 1.295, I 25.4, hkl 1 2 5

Cell and atoms:
Lattice parameters (Å, degrees): 4.4012 5.4530 7.8049 90.00 90.00 90.00
Space group Immm (No. 71)
Asymmetric unit:
Ce  0.0000  0.0000  0.2013
Zn  0.0000  0.5000  0.0000
Ni  0.0000  0.2663  0.5000